Starting from a DFT-relaxed cell (GGA-PBE, Alexandria), the X-ray powder pattern of Mg4Tl3Cd4 was computed for CuKα.

Structural model:
Cell lengths 3.382, 4.137, 19.122 Å; angles 85.04, 84.95, 89.81 degrees
Positions (direct):
1 Mg 0.047 0.046 0.406
2 Mg 0.316 0.314 0.872
3 Mg 0.684 0.686 0.128
4 Mg 0.953 0.954 0.594
5 Tl 0.139 0.137 0.223
6 Tl 0.500 0.500 0.500
7 Tl 0.861 0.863 0.777
8 Cd 0.227 0.229 0.044
9 Cd 0.413 0.413 0.677
10 Cd 0.587 0.587 0.323
11 Cd 0.773 0.771 0.956

Top 8 peaks for 2θ = 10–90°, low angle first:
- (0 0 4), 2θ 18.7, I = 35.9
- (0 1 -1), 2θ 22.5, I = 29.8
- (0 1 2), 2θ 22.8, I = 28.9
- (1 0 -1), 2θ 27.3, I = 37.3
- (0 1 -5), 2θ 33.5, I = 52.7
- (1 1 1), 2θ 34.2, I = 100.0
- (1 -1 0), 2θ 34.3, I = 50.0
- (1 0 6), 2θ 37.2, I = 78.8